Entry 1:
H6PbCBr3N: computed powder diffraction line list (Cu Ka), based on DFT lattice parameters and positions (GGA-PBE).

The 10 most intense peaks (2θ from 5° to 70°), in order of falling intensity:
14.92°, 5.938 Å, I 100.0
30.10°, 2.969 Å, I 55.8
14.66°, 6.042 Å, I 50.0
42.70°, 2.117 Å, I 38.7
33.28°, 2.692 Å, I 33.2
29.57°, 3.021 Å, I 33.1
20.98°, 4.235 Å, I 31.1
33.63°, 2.665 Å, I 27.4
32.56°, 2.750 Å, I 26.9
44.56°, 2.034 Å, I 20.8

Cell lengths 8.0646, 12.0831, 8.7760 Å; angles 90.00, 90.00, 90.00 degrees
Atoms (fractional coordinates):
H (0.0087, 0.1807, 0.1552)
H (0.0087, 0.3193, 0.1552)
H (0.0240, 0.1756, 0.8784)
H (0.0240, 0.3244, 0.8784)
H (0.1541, 0.7500, 0.0561)
H (0.1783, 0.2500, 0.0953)
H (0.3217, 0.7500, 0.5953)
H (0.3459, 0.2500, 0.5561)
H (0.4760, 0.6756, 0.3784)
H (0.4760, 0.8244, 0.3784)
H (0.4913, 0.6807, 0.6552)
H (0.4913, 0.8193, 0.6552)
H (0.5087, 0.1807, 0.3448)
H (0.5087, 0.3193, 0.3448)
H (0.5240, 0.1756, 0.6216)
H (0.5240, 0.3244, 0.6216)
H (0.6541, 0.7500, 0.4439)
H (0.6783, 0.2500, 0.4047)
H (0.8217, 0.7500, 0.9047)
H (0.8459, 0.2500, 0.9439)
H (0.9760, 0.6756, 0.1216)
H (0.9760, 0.8244, 0.1216)
H (0.9913, 0.6807, 0.8448)
H (0.9913, 0.8193, 0.8448)
Pb (0.0000, 0.0000, 0.5000)
Pb (0.0000, 0.5000, 0.5000)
Pb (0.5000, 0.0000, 0.0000)
Pb (0.5000, 0.5000, 0.0000)
C (0.0189, 0.7500, 0.0623)
C (0.4811, 0.2500, 0.5623)
C (0.5189, 0.7500, 0.4377)
C (0.9811, 0.2500, 0.9377)
Br (0.0330, 0.7500, 0.4819)
Br (0.2042, 0.5294, 0.7890)
Br (0.2042, 0.9706, 0.7890)
Br (0.2958, 0.0294, 0.2890)
Br (0.2958, 0.4706, 0.2890)
Br (0.4670, 0.2500, 0.9819)
Br (0.5330, 0.7500, 0.0181)
Br (0.7042, 0.5294, 0.7110)
Br (0.7042, 0.9706, 0.7110)
Br (0.7958, 0.0294, 0.2110)
Br (0.7958, 0.4706, 0.2110)
Br (0.9670, 0.2500, 0.5181)
N (0.0491, 0.2500, 0.0962)
N (0.4509, 0.7500, 0.5962)
N (0.5491, 0.2500, 0.4038)
N (0.9509, 0.7500, 0.9038)

---

Entry 2:
H6PbCBr3N: computed powder diffraction line list (Cu Ka), based on DFT lattice parameters and positions (GGA-PBE).

The 10 most intense peaks (2θ from 5° to 70°), in order of falling intensity:
14.77°, 5.999 Å, I 100.0
33.25°, 2.695 Å, I 58.8
14.54°, 6.092 Å, I 57.7
29.79°, 2.999 Å, I 52.5
20.78°, 4.274 Å, I 45.8
42.29°, 2.137 Å, I 45.0
29.32°, 3.046 Å, I 40.7
32.98°, 2.716 Å, I 33.1
44.89°, 2.019 Å, I 28.9
36.79°, 2.443 Å, I 21.5

Cell lengths 8.5470, 12.1840, 8.4217 Å; angles 90.00, 90.00, 90.00 degrees
Atoms (fractional coordinates):
H (0.0816, 0.1819, 0.1088)
H (0.0816, 0.3181, 0.1088)
H (0.0923, 0.6759, 0.1173)
H (0.0923, 0.8241, 0.1173)
H (0.1622, 0.2500, 0.9584)
H (0.1762, 0.7500, 0.9538)
H (0.3238, 0.2500, 0.4538)
H (0.3378, 0.7500, 0.4584)
H (0.4077, 0.1759, 0.6173)
H (0.4077, 0.3241, 0.6173)
H (0.4184, 0.6819, 0.6088)
H (0.4184, 0.8181, 0.6088)
H (0.5816, 0.1819, 0.3912)
H (0.5816, 0.3181, 0.3912)
H (0.5923, 0.6759, 0.3827)
H (0.5923, 0.8241, 0.3827)
H (0.6622, 0.2500, 0.5416)
H (0.6762, 0.7500, 0.5462)
H (0.8238, 0.2500, 0.0462)
H (0.8378, 0.7500, 0.0416)
H (0.9077, 0.1759, 0.8827)
H (0.9077, 0.3241, 0.8827)
H (0.9184, 0.6819, 0.8912)
H (0.9184, 0.8181, 0.8912)
Pb (0.0000, 0.0000, 0.5000)
Pb (0.0000, 0.5000, 0.5000)
Pb (0.5000, 0.0000, 0.0000)
Pb (0.5000, 0.5000, 0.0000)
C (0.0846, 0.7500, 0.0444)
C (0.4154, 0.2500, 0.5444)
C (0.5846, 0.7500, 0.4556)
C (0.9154, 0.2500, 0.9556)
Br (0.0243, 0.7500, 0.5613)
Br (0.2005, 0.0176, 0.8010)
Br (0.2005, 0.4824, 0.8010)
Br (0.2995, 0.5176, 0.3010)
Br (0.2995, 0.9824, 0.3010)
Br (0.4757, 0.2500, 0.0613)
Br (0.5243, 0.7500, 0.9387)
Br (0.7005, 0.0176, 0.6990)
Br (0.7005, 0.4824, 0.6990)
Br (0.7995, 0.5176, 0.1990)
Br (0.7995, 0.9824, 0.1990)
Br (0.9757, 0.2500, 0.4387)
N (0.0700, 0.2500, 0.0369)
N (0.4300, 0.7500, 0.5369)
N (0.5700, 0.2500, 0.4631)
N (0.9300, 0.7500, 0.9631)

---

Entry 3:
H5PbCBr3N2: computed powder diffraction line list (Cu Ka), based on DFT lattice parameters and positions (GGA-PBE).

The 10 most intense peaks (2θ from 5° to 70°), in order of falling intensity:
14.33°, 6.182 Å, I 100.0
14.84°, 5.969 Å, I 42.6
28.99°, 3.080 Å, I 40.3
32.51°, 2.754 Å, I 37.9
20.70°, 4.292 Å, I 35.4
44.69°, 2.028 Å, I 33.6
29.94°, 2.984 Å, I 33.4
33.34°, 2.687 Å, I 32.5
28.80°, 3.100 Å, I 31.6
42.16°, 2.143 Å, I 25.9

Cell lengths 6.1594, 6.1997, 5.9689 Å; angles 90.00, 90.00, 90.00 degrees
Atoms (fractional coordinates):
H (0.0000, 0.0000, 0.0000)
H (0.0000, 0.2103, 0.5487)
H (0.0000, 0.3208, 0.8184)
H (0.0000, 0.6792, 0.8184)
H (0.0000, 0.7897, 0.5487)
Pb (0.5000, 0.5000, 0.2465)
C (0.0000, 0.0000, 0.8173)
Br (0.0000, 0.5000, 0.2133)
Br (0.5000, 0.0000, 0.2625)
Br (0.5000, 0.5000, 0.7479)
N (0.0000, 0.1883, 0.7180)
N (0.0000, 0.8117, 0.7180)

---

Entry 4:
H6PbCBr3N: computed powder diffraction line list (Cu Ka), based on DFT lattice parameters and positions (GGA-PBE).

The 10 most intense peaks (2θ from 5° to 70°), in order of falling intensity:
14.56°, 6.084 Å, I 100.0
29.41°, 3.037 Å, I 44.4
32.98°, 2.716 Å, I 38.6
20.66°, 4.298 Å, I 21.5
29.27°, 3.052 Å, I 20.5
42.08°, 2.147 Å, I 15.3
41.99°, 2.152 Å, I 14.6
32.85°, 2.726 Å, I 12.6
32.71°, 2.738 Å, I 11.6
44.55°, 2.034 Å, I 10.8

Cell lengths 8.5870, 8.5914, 12.2077 Å; angles 89.43, 89.52, 89.92 degrees
Atoms (fractional coordinates):
H (0.0000, 0.0000, 0.0000)
H (0.0034, 0.0147, 0.4993)
H (0.2719, 0.5628, 0.8201)
H (0.2849, 0.5228, 0.5019)
H (0.3189, 0.4494, 0.0032)
H (0.3240, 0.6371, 0.3197)
H (0.3351, 0.4289, 0.3185)
H (0.3593, 0.6390, 0.9992)
H (0.4195, 0.4156, 0.8181)
H (0.4407, 0.6349, 0.4988)
H (0.4634, 0.4425, 0.4999)
H (0.4743, 0.6183, 0.8156)
H (0.5039, 0.5112, 0.9974)
H (0.5116, 0.5427, 0.3161)
H (0.7727, 0.0577, 0.3203)
H (0.7737, 0.0691, 0.8207)
H (0.8138, 0.9505, 0.0006)
H (0.8197, 0.9492, 0.5044)
H (0.8567, 0.1395, 0.4990)
H (0.8585, 0.1374, 0.0022)
H (0.9135, 0.9148, 0.8186)
H (0.9241, 0.9142, 0.3204)
H (0.9734, 0.1184, 0.3163)
H (0.9785, 0.1149, 0.8171)
Pb (0.3914, 0.0338, 0.6204)
Pb (0.3961, 0.0333, 0.1203)
Pb (0.8949, 0.5342, 0.1203)
Pb (0.8964, 0.5335, 0.6204)
C (0.3896, 0.5322, 0.8463)
C (0.3915, 0.5351, 0.3465)
C (0.8899, 0.0331, 0.8472)
C (0.8906, 0.0306, 0.3472)
Br (0.1207, 0.2598, 0.6173)
Br (0.1256, 0.8100, 0.1160)
Br (0.1674, 0.7588, 0.6170)
Br (0.1690, 0.3059, 0.1171)
Br (0.3937, 0.0328, 0.3632)
Br (0.3947, 0.0329, 0.8631)
Br (0.6208, 0.3053, 0.6152)
Br (0.6240, 0.7611, 0.1153)
Br (0.6656, 0.8047, 0.6158)
Br (0.6721, 0.2636, 0.1163)
Br (0.8934, 0.5335, 0.8631)
Br (0.8949, 0.5326, 0.3631)
N (0.3935, 0.5334, 0.9684)
N (0.3949, 0.5335, 0.4684)
N (0.8917, 0.0311, 0.9691)
N (0.8935, 0.0338, 0.4694)

---

Entry 5:
SnH5CBr3N2: computed powder diffraction line list (Cu Ka), based on DFT lattice parameters and positions (GGA-PBE).

The 10 most intense peaks (2θ from 5° to 70°), in order of falling intensity:
30.23°, 2.957 Å, I 100.0
42.18°, 2.142 Å, I 79.2
14.98°, 5.913 Å, I 74.8
14.24°, 6.220 Å, I 57.8
32.53°, 2.753 Å, I 47.0
28.70°, 3.110 Å, I 45.2
33.56°, 2.670 Å, I 35.2
26.09°, 3.416 Å, I 20.8
25.25°, 3.527 Å, I 20.0
44.48°, 2.037 Å, I 19.1

Cell lengths 6.2202, 5.9196, 5.9196 Å; angles 87.32, 90.00, 90.00 degrees
Atoms (fractional coordinates):
Sn (0.0000, 0.0000, 0.0000)
H (0.1790, 0.5472, 0.5472)
H (0.2984, 0.3621, 0.3621)
H (0.5000, 0.6795, 0.6795)
H (0.7016, 0.3621, 0.3621)
H (0.8210, 0.5472, 0.5472)
C (0.5000, 0.5518, 0.5518)
Br (0.0000, 0.5015, 0.9838)
Br (0.0000, 0.9838, 0.5015)
Br (0.5000, 0.0235, 0.0235)
N (0.3138, 0.4805, 0.4805)
N (0.6862, 0.4805, 0.4805)